The following is a theoretical powder diffraction line list of Tm2BeB10. It was derived from a crystal structure in Alexandria, relaxed with PBE, using Cu Kα, 1.54184 Å.
Peak positions follow from Bragg's law for the DFT cell and can differ from measured ones.

Largest 8 diffraction maxima, in order of rising 2θ, 2θ = 15–90°:
4.103 Å, I = 50, hkl 0 0 1
3.868 Å, I = 74, hkl 1 2 0
2.814 Å, I = 100, hkl 1 2 1
2.717 Å, I = 26, hkl 0 4 0
2.286 Å, I = 21, hkl 2 0 1
2.266 Å, I = 33, hkl 0 4 1
1.934 Å, I = 19, hkl 2 4 0
1.812 Å, I = 29, hkl 1 2 2

Crystal structure
```
data_Tm2BeB10
_chemical_formula_sum 'Tm4 Be2 B20'
_cell_length_a 5.506
_cell_length_b 10.870
_cell_length_c 4.103
_cell_angle_alpha 90.00
_cell_angle_beta 90.00
_cell_angle_gamma 90.00
_space_group_name_H-M_alt 'P b a m'
_space_group_IT_number 55
loop_
_space_group_symop_operation_xyz
'x,y,z'
'-x,-y,-z'
'-x,-y,z'
'x,y,-z'
'x+1/2,-y+1/2,-z'
'-x+1/2,y+1/2,z'
'-x+1/2,y+1/2,-z'
'x+1/2,-y+1/2,z'
loop_
_atom_site_label
_atom_site_type_symbol
_atom_site_fract_x
_atom_site_fract_y
_atom_site_fract_z
Tm1 Tm 0.196 0.133 0.000
Be1 Be 0.000 0.500 0.500
B1 B 0.021 0.316 0.500
B2 B 0.128 0.961 0.500
B3 B 0.168 0.802 0.500
B4 B 0.195 0.389 0.200
```